[1]
Diffraction record for CsIn9Hg2. The X-ray diffraction stick pattern is calculated, not measured: it uses a crystal structure in Alexandria, relaxed with PBE and λ = 1.5418 Å (Cu Kα).

Principal peaks in the range 2θ from 5° to 70°, in order of rising 2θ:
2θ (°), I/Imax
25.38, 33
27.03, 47
27.28, 28
28.60, 47
30.45, 100
31.35, 68
33.48, 41
35.15, 32
36.05, 32
37.09, 33

Structural model:
Cell: 6.4059 6.4059 10.9714 Å, 112.04 112.04 66.44°
Atoms (fractional coordinates):
Cs (0.0000, 0.0000, 0.0000)
In (0.0000, 0.0000, 0.5000)
In (0.1341, 0.6079, 0.2549)
In (0.3472, 0.3472, 0.9900)
In (0.3603, 0.3603, 0.7017)
In (0.3921, 0.8659, 0.7451)
In (0.6079, 0.1341, 0.2549)
In (0.6397, 0.6397, 0.2983)
In (0.6528, 0.6528, 0.0100)
In (0.8659, 0.3921, 0.7451)
Hg (0.2250, 0.2250, 0.3915)
Hg (0.7750, 0.7750, 0.6085)

[2]
Diffraction record for Zn2CdCo. The X-ray diffraction stick pattern is calculated, not measured: it uses a crystal structure in Alexandria, relaxed with PBE and λ = 1.5418 Å (Cu Kα).

Principal peaks in the range 2θ from 5° to 70°, in order of rising 2θ:
2θ (°), I/Imax
19.95, 3
30.80, 7
36.52, 12
40.53, 22
41.02, 27
41.19, 100
52.16, 3
59.04, 14
60.06, 4
60.28, 8

Structural model:
Cell: 5.1973 5.1973 5.1973 Å, 145.63 129.91 62.16°
Atoms (fractional coordinates):
Zn (0.2215, 0.2215, 0.0000)
Zn (0.7785, 0.7785, 0.0000)
Cd (0.5000, 0.0000, 0.5000)
Co (0.0000, 0.5000, 0.5000)